# MgMn4Zn2O8
Calculated powder diffractogram, Cu Kα, 1.54184 Å. Input: a cell relaxed with GGA+U.
Intensities are scaled so that the largest is 100.

Main lines, by angle (15° ≤ 2θ ≤ 90°):
2theta, I_rel, index
22.2, 17, 0 0 3
28.0, 100, 0 1 3
33.2, 17, 1 -1 0
33.7, 37, 1 0 2
34.1, 24, 0 2 0
34.4, 32, 0 1 -4
37.0, 29, 1 1 -1
39.2, 17, 1 1 -2
49.6, 28, 1 -2 3
50.9, 23, 1 2 2
57.9, 17, 1 2 -4
61.3, 14, 0 3 -4

Structural model:
```
data_MgMn4Zn2O8
_cell_length_a 2.9801
_cell_length_b 5.2792
_cell_length_c 12.0102
_cell_angle_alpha 90.00
_cell_angle_beta 90.01
_cell_angle_gamma 95.46
_space_group_name_H-M_alt 'P 1'
_space_group_IT_number 1
loop_
_space_group_symop_operation_xyz
'x,y,z'
loop_
_atom_site_label
_atom_site_fract_x
_atom_site_fract_y
_atom_site_fract_z
Mg1 0.0000 0.0000 0.0000
Mn1 0.2686 0.6587 0.3553
Mn2 0.2723 0.6587 0.6450
Mn3 0.4553 0.1517 0.2320
Mn4 0.4606 0.1523 0.7682
Zn1 0.7958 0.1384 0.4999
Zn2 0.9115 0.5045 0.0000
O1 0.2622 0.8898 0.5001
O2 0.4606 0.7593 0.0000
O3 0.7193 0.4003 0.3714
O4 0.7234 0.4004 0.6287
O5 0.8358 0.8703 0.2885
O6 0.8379 0.8696 0.7119
O7 0.9752 0.2506 0.1214
O8 0.9807 0.2512 0.8787
```